# 1
LiHfCuSe2S: theoretical X-ray powder pattern (Cu Kα, 1.54184 Å), based on a cell relaxed with PBE.
Peak positions follow from Bragg's law for the DFT cell and can differ from measured ones.

Structure:
a = 7.4377 Å, b = 3.7261 Å, c = 8.9467 Å
α = 90.00°, β = 104.25°, γ = 90.00°
Space group P2_1/m (No. 11)
Symmetry-distinct sites (fractional):
Li (0.2384, 0.2500, 0.1840) [2 per cell]
Hf (0.1896, 0.7500, 0.6793) [2 per cell]
Cu (0.4130, 0.2500, 0.9114) [2 per cell]
Se (0.0814, 0.7500, 0.3517) [2 per cell]
Se (0.4287, 0.2500, 0.6456) [2 per cell]
S (0.2462, 0.7500, 0.9681) [2 per cell]

Peak list (10 most intense, 2θ from 10° to 80°, in order of rising 2θ)
- d = 8.671 Å, I = 19, (0 0 1)
- d = 6.367 Å, I = 100, (1 0 -1)
- d = 3.310 Å, I = 19, (1 1 0)
- d = 2.982 Å, I = 15, (1 1 1)
- d = 2.890 Å, I = 30, (0 0 3)
- d = 2.612 Å, I = 34, (2 1 -1)
- d = 2.591 Å, I = 39, (2 1 0)
- d = 2.310 Å, I = 17, (1 1 -3)
- d = 2.067 Å, I = 15, (2 1 2)
- d = 1.830 Å, I = 24, (2 1 -4)


# 2
LiHfCuSe2S: theoretical X-ray powder pattern (Cu Kα, 1.54184 Å), based on a cell relaxed with PBE.
Peak positions follow from Bragg's law for the DFT cell and can differ from measured ones.

Structure:
a = 7.3080 Å, b = 3.7288 Å, c = 9.0672 Å
α = 90.00°, β = 104.03°, γ = 90.00°
Space group P2_1/m (No. 11)
Symmetry-distinct sites (fractional):
Li (0.2351, 0.2500, 0.1982) [2 per cell]
Hf (0.1961, 0.7500, 0.6726) [2 per cell]
Cu (0.4185, 0.2500, 0.9065) [2 per cell]
Se (0.0869, 0.7500, 0.3577) [2 per cell]
Se (0.2262, 0.7500, 0.9693) [2 per cell]
S (0.4191, 0.2500, 0.6552) [2 per cell]

Peak list (10 most intense, 2θ from 10° to 80°, in order of rising 2θ)
- d = 6.319 Å, I = 100, (1 0 -1)
- d = 3.300 Å, I = 37, (1 1 0)
- d = 2.932 Å, I = 28, (0 0 3)
- d = 2.592 Å, I = 22, (2 1 -1)
- d = 2.569 Å, I = 30, (2 1 0)
- d = 2.327 Å, I = 26, (1 1 -3)
- d = 2.079 Å, I = 10, (1 1 3)
- d = 2.039 Å, I = 11, (3 1 -1)
- d = 1.864 Å, I = 13, (0 2 0)
- d = 1.838 Å, I = 19, (2 1 -4)


# 3
LiHfCu3Te4: theoretical X-ray powder pattern (Cu Kα, 1.54184 Å), based on a cell relaxed with PBE.
Peak positions follow from Bragg's law for the DFT cell and can differ from measured ones.

Structure:
a = 6.1717 Å, b = 8.3149 Å, c = 9.1823 Å
α = 90.00°, β = 95.40°, γ = 90.00°
Space group P2_1/m (No. 11)
Symmetry-distinct sites (fractional):
Li (0.2128, 0.2500, 0.3210) [2 per cell]
Hf (0.2779, 0.7500, 0.2277) [2 per cell]
Cu (0.2100, 0.2500, 0.7934) [2 per cell]
Cu (0.2894, 0.0075, 0.0032) [4 per cell]
Te (0.0101, 0.7500, 0.9665) [2 per cell]
Te (0.0419, 0.7500, 0.4533) [2 per cell]
Te (0.4547, 0.5149, 0.7498) [4 per cell]

Peak list (10 most intense, 2θ from 10° to 80°, in order of rising 2θ)
- d = 6.151 Å, I = 78, (0 1 1)
- d = 3.845 Å, I = 47, (1 0 -2)
- d = 3.513 Å, I = 40, (1 0 2)
- d = 3.443 Å, I = 100, (1 2 0)
- d = 2.541 Å, I = 23, (2 1 -2)
- d = 2.285 Å, I = 32, (0 0 4)
- d = 2.246 Å, I = 56, (2 2 -2)
- d = 2.108 Å, I = 68, (2 2 2)
- d = 2.079 Å, I = 37, (0 4 0)
- d = 1.538 Å, I = 23, (0 4 4)


# 4
LuHf2Cu4Si4: theoretical X-ray powder pattern (Cu Kα, 1.54184 Å), based on a cell relaxed with PBE.
Peak positions follow from Bragg's law for the DFT cell and can differ from measured ones.

Structure:
a = 3.9244 Å, b = 6.4652 Å, c = 13.0743 Å
α = 90.00°, β = 90.00°, γ = 90.00°
Space group Immm (No. 71)
Symmetry-distinct sites (fractional):
Lu (0.0000, 0.0000, 0.0000) [2 per cell]
Hf (0.0000, 0.5000, 0.1236) [4 per cell]
Cu (0.0000, 0.3068, 0.3291) [8 per cell]
Si (0.0000, 0.0000, 0.2190) [4 per cell]
Si (0.0000, 0.1855, 0.5000) [4 per cell]

Peak list (10 most intense, 2θ from 10° to 80°, in order of rising 2θ)
- d = 3.759 Å, I = 26, (1 0 1)
- d = 3.614 Å, I = 27, (0 1 3)
- d = 2.451 Å, I = 96, (1 2 1)
- d = 2.424 Å, I = 38, (0 1 5)
- d = 2.341 Å, I = 100, (1 1 4)
- d = 2.178 Å, I = 18, (0 0 6)
- d = 1.962 Å, I = 31, (2 0 0)
- d = 1.932 Å, I = 33, (0 3 3)
- d = 1.635 Å, I = 18, (1 3 4)
- d = 1.377 Å, I = 21, (2 3 3)


# 5
NaHfCuTe3: theoretical X-ray powder pattern (Cu Kα, 1.54184 Å), based on a cell relaxed with PBE.
Peak positions follow from Bragg's law for the DFT cell and can differ from measured ones.

Structure:
a = 8.2787 Å, b = 4.0595 Å, c = 10.2727 Å
α = 90.00°, β = 108.64°, γ = 90.00°
Space group P2_1/m (No. 11)
Symmetry-distinct sites (fractional):
Na (0.2274, 0.2500, 0.2035) [2 per cell]
Hf (0.2035, 0.7500, 0.6752) [2 per cell]
Cu (0.4169, 0.2500, 0.9020) [2 per cell]
Te (0.0650, 0.7500, 0.3683) [2 per cell]
Te (0.2435, 0.7500, 0.9578) [2 per cell]
Te (0.4382, 0.2500, 0.6531) [2 per cell]

Peak list (10 most intense, 2θ from 10° to 80°, in order of rising 2θ)
- d = 7.365 Å, I = 100, (1 0 -1)
- d = 3.605 Å, I = 32, (1 1 0)
- d = 3.245 Å, I = 43, (0 0 3)
- d = 2.893 Å, I = 63, (2 1 -1)
- d = 2.821 Å, I = 35, (2 1 0)
- d = 2.611 Å, I = 24, (1 1 -3)
- d = 2.097 Å, I = 45, (2 1 -4)
- d = 2.030 Å, I = 24, (0 2 0)
- d = 1.921 Å, I = 16, (2 1 3)
- d = 1.721 Å, I = 14, (0 2 3)


# 6
HfNbCu2Si4: theoretical X-ray powder pattern (Cu Kα, 1.54184 Å), based on a cell relaxed with PBE.
Peak positions follow from Bragg's law for the DFT cell and can differ from measured ones.

Structure:
a = 3.6275 Å, b = 3.6275 Å, c = 8.8990 Å
α = 90.00°, β = 90.00°, γ = 90.00°
Space group P4mm (No. 99)
Symmetry-distinct sites (fractional):
Hf (0.0000, 0.0000, 0.0000) [1 per cell]
Nb (0.5000, 0.5000, 0.5411) [1 per cell]
Cu (0.0000, 0.5000, 0.2715) [2 per cell]
Si (0.0000, 0.0000, 0.4510) [1 per cell]
Si (0.0000, 0.5000, 0.7651) [2 per cell]
Si (0.5000, 0.5000, 0.0919) [1 per cell]

Peak list (10 most intense, 2θ from 10° to 80°, in order of rising 2θ)
- d = 3.359 Å, I = 50, (1 0 1)
- d = 2.812 Å, I = 13, (1 0 2)
- d = 2.296 Å, I = 22, (1 0 3)
- d = 2.223 Å, I = 100, (1 1 2)
- d = 1.896 Å, I = 9, (1 0 4)
- d = 1.814 Å, I = 25, (2 0 0)
- d = 1.597 Å, I = 20, (1 0 5)
- d = 1.423 Å, I = 10, (2 1 3)
- d = 1.406 Å, I = 14, (2 0 4)
- d = 1.283 Å, I = 14, (2 2 0)